Starting from a cell relaxed with GGA-PBE, the PXRD pattern of Ac3SmPb4 was calculated for Cu Kα (λ = 1.5418 Å).

Structural model:
```
Ac3SmPb4
1.0
-3.0615 3.0615 7.3271
3.0615 -3.0615 7.3271
3.0615 3.0615 -7.3271
Ac Sm Pb
3 1 4
Cartesian
0.0000 0.0000 0.0000
0.0000 0.0000 3.7753
0.0000 0.0000 10.8790
0.0000 0.0000 7.3271
3.0615 0.0000 1.7247
3.0615 0.0000 5.6024
0.0000 3.0615 1.7247
0.0000 3.0615 5.6024
```

Most intense lines, 10° ≤ 2θ ≤ 90°, by angle:
Position (°2θ), I (rel.)
29.17, 65
32.00, 100
41.72, 25
53.53, 48
58.74, 17
68.54, 12
82.01, 13
85.00, 14


Starting from a cell relaxed with GGA-PBE, the PXRD pattern of Ta3Tc was calculated for Cu Kα (λ = 1.5418 Å).

Structural model:
```
Ta3Tc
1.0
-1.6146 2.2828 4.6533
1.6146 -2.2828 4.6533
1.6146 2.2828 -4.6533
Ta Tc
3 1
Cartesian
0.0000 0.0000 0.0000
1.6146 0.0000 2.4098
0.0000 2.2828 2.2435
0.0000 0.0000 4.6533
```

Most intense lines, 10° ≤ 2θ ≤ 90°, by angle:
Position (°2θ), I (rel.)
38.70, 25
39.28, 100
39.47, 25
56.47, 17
70.43, 17
71.46, 17
71.59, 10
84.47, 11


Starting from a cell relaxed with GGA-PBE, the PXRD pattern of Mg14CoCu was calculated for Cu Kα (λ = 1.5418 Å).

Structural model:
```
Mg14CoCu
1.0
6.1898 0.0000 0.0000
-3.0949 5.3605 0.0000
0.0000 0.0000 9.8606
Mg Co Cu
14 1 1
Cartesian
0.0000 0.0000 2.4591
0.0000 0.0000 7.4015
-1.4768 2.7211 2.5155
-1.4768 2.7211 7.3451
1.5415 0.8900 4.9303
1.5492 0.8944 0.0000
1.4768 2.7211 2.5155
1.4768 2.7211 7.3451
0.0000 5.2789 2.5155
0.0000 5.2789 7.3451
4.6407 0.8944 0.0000
3.0949 3.5717 0.0000
4.6483 0.8900 4.9303
3.0949 3.5805 4.9303
0.0000 3.5737 4.9303
0.0000 3.5737 0.0000
```

Most intense lines, 10° ≤ 2θ ≤ 90°, by angle:
Position (°2θ), I (rel.)
16.54, 18
33.43, 26
36.45, 25
38.22, 100
50.29, 16
59.76, 17
66.77, 18
72.06, 18


Starting from a cell relaxed with GGA-PBE, the PXRD pattern of Ac3In2Te8 was calculated for Cu Kα (λ = 1.5418 Å).

Structural model:
```
Ac3In2Te8
1.0
4.0059 2.3128 9.3019
-4.0059 2.3128 9.3019
0.0000 -4.6256 9.3019
Ac In Te
3 2 8
Cartesian
0.0000 0.0000 0.0000
0.0000 0.0000 5.6197
0.0000 0.0000 22.2861
0.0000 0.0000 11.4349
0.0000 0.0000 16.4709
-2.2801 -1.3164 15.7156
0.0000 -2.6329 12.1902
-2.2801 1.3164 12.1902
0.0000 0.0000 8.6960
0.0000 0.0000 19.2098
2.2801 -1.3164 15.7156
0.0000 2.6329 15.7156
2.2801 1.3164 12.1902
```

Most intense lines, 10° ≤ 2θ ≤ 90°, by angle:
Position (°2θ), I (rel.)
22.19, 100
26.47, 58
28.72, 51
30.34, 58
34.65, 57
37.91, 31
45.27, 51
67.78, 26


Starting from a cell relaxed with GGA-PBE, the PXRD pattern of Sm12Al4CdN3 was calculated for Cu Kα (λ = 1.5418 Å).

Structural model:
```
Sm12Al4CdN3
1.0
-5.0880 5.0880 5.0880
5.0880 -5.0880 5.0880
5.0880 5.0880 -5.0880
Sm Al Cd N
12 4 1 3
Cartesian
2.8017 0.0000 0.0000
7.3744 0.0000 0.0000
5.0880 2.5440 0.0000
5.0880 0.0000 2.5440
0.0000 2.8017 0.0000
0.0000 0.0000 2.8017
2.5440 5.0880 0.0000
2.5440 0.0000 5.0880
0.0000 7.3744 0.0000
0.0000 0.0000 7.3744
0.0000 5.0880 2.5440
0.0000 2.5440 5.0880
2.5440 2.5440 -2.5440
2.5440 -2.5440 2.5440
-2.5440 2.5440 2.5440
2.5440 2.5440 2.5440
0.0000 0.0000 0.0000
5.0880 0.0000 0.0000
0.0000 5.0880 0.0000
0.0000 0.0000 5.0880
```

Most intense lines, 10° ≤ 2θ ≤ 90°, by angle:
Position (°2θ), I (rel.)
17.43, 44
30.43, 100
35.28, 70
39.61, 18
50.75, 47
60.33, 38
63.32, 15
85.31, 18


Starting from a cell relaxed with GGA-PBE, the PXRD pattern of BaTl10Pd3 was calculated for Cu Kα (λ = 1.5418 Å).

Structural model:
```
BaTl10Pd3
1.0
0.0000 7.3556 7.3556
7.3556 0.0000 7.3556
7.3556 7.3556 0.0000
Ba Tl Pd
2 20 6
Cartesian
3.6778 3.6778 3.6778
11.0334 11.0334 11.0334
2.4815 2.4815 0.0000
4.8741 4.8741 0.0000
2.4815 0.0000 2.4815
7.3556 4.8741 2.4815
4.8741 0.0000 4.8741
7.3556 2.4815 4.8741
8.9956 5.7156 5.7156
0.0000 2.4815 2.4815
4.8741 7.3556 2.4815
4.8741 2.4815 7.3556
5.7156 5.7156 5.7156
8.9956 8.9956 5.7156
8.9956 5.7156 8.9956
5.7156 8.9956 5.7156
5.7156 5.7156 8.9956
8.9956 8.9956 8.9956
0.0000 4.8741 4.8741
2.4815 7.3556 4.8741
2.4815 4.8741 7.3556
5.7156 8.9956 8.9956
7.3556 7.3556 3.9020
7.3556 3.9020 7.3556
10.8092 7.3556 7.3556
3.9020 7.3556 7.3556
7.3556 10.8092 7.3556
7.3556 7.3556 10.8092
```

Most intense lines, 10° ≤ 2θ ≤ 90°, by angle:
Position (°2θ), I (rel.)
27.11, 27
31.60, 100
34.49, 27
36.12, 50
36.65, 18
40.68, 26
52.80, 26
61.79, 21


Starting from a cell relaxed with GGA-PBE, the PXRD pattern of Cs3CuBr6 was calculated for Cu Kα (λ = 1.5418 Å).

Structural model:
```
Cs3CuBr6
1.0
7.6926 -9.7360 0.0000
7.6926 9.7360 0.0000
0.0000 0.0000 5.8994
Cs Cu Br
6 2 12
Cartesian
7.6926 7.5812 2.9497
5.1214 2.4567 0.3470
5.1214 -2.4567 3.2966
10.2637 2.4567 0.3470
10.2637 -2.4567 3.2966
7.6926 -7.5812 0.0000
7.6926 4.0302 3.7840
7.6926 -4.0302 0.8343
5.4042 4.5922 3.2306
2.6603 0.0005 1.6457
2.6603 -0.0005 4.5953
7.6926 5.2284 5.8756
7.6926 1.6882 3.1718
9.9809 4.5922 3.2306
5.4042 -4.5922 0.2809
7.6926 -1.6882 0.2221
7.6926 -5.2284 2.9259
12.7249 0.0005 1.6457
12.7249 -0.0005 4.5953
9.9809 -4.5922 0.2809
```

Most intense lines, 10° ≤ 2θ ≤ 90°, by angle:
Position (°2θ), I (rel.)
17.58, 24
22.09, 48
26.82, 100
31.46, 32
32.62, 31
34.99, 33
35.41, 22
47.76, 18


Starting from a cell relaxed with GGA-PBE, the PXRD pattern of AcCeAs2Pt2 was calculated for Cu Kα (λ = 1.5418 Å).

Structural model:
```
AcCeAs2Pt2
1.0
4.3949 0.0000 0.0000
-2.1975 3.8061 0.0000
0.0000 0.0000 8.2480
Ac Ce As Pt
1 1 2 2
Cartesian
0.0000 0.0000 0.0000
0.0000 0.0000 4.1240
0.0000 2.5374 2.1107
2.1975 1.2687 6.1373
0.0000 2.5374 5.9834
2.1975 1.2687 2.2646
```

Most intense lines, 10° ≤ 2θ ≤ 90°, by angle:
Position (°2θ), I (rel.)
25.78, 22
32.00, 100
41.08, 52
43.91, 12
52.99, 24
61.69, 27
69.16, 22
74.84, 9